(1)
For K3Ce3AgO8, DFT lattice parameters and positions (PBE) gives the simulated powder diffraction line list in this record (Cu Kα (weighted mean of Kα1 and Kα2)).
Neutral-atom scattering factors, no anomalous dispersion.

Principal peaks in the range 2θ from 10° to 90°, in order of falling intensity:
(0 0 3), d 6.205, 2θ = 14.27°, rel. 100
(0 2 4), d 2.572, 2θ = 34.88°, rel. 92
(2 0 2), d 2.930, 2θ = 30.51°, rel. 63
(0 2 1), d 3.045, 2θ = 29.33°, rel. 38
(2 2 0), d 1.782, 2θ = 51.27°, rel. 30
(2 0 8), d 1.858, 2θ = 49.03°, rel. 29
(0 0 6), d 3.102, 2θ = 28.78°, rel. 28
(2 2 6), d 1.545, 2θ = 59.85°, rel. 22
(0 2 7), d 2.015, 2θ = 45.00°, rel. 20
(2 2 3), d 1.713, 2θ = 53.50°, rel. 20
(0 2 10), d 1.594, 2θ = 57.85°, rel. 14
(4 0 4), d 1.465, 2θ = 63.51°, rel. 14

Atomic structure:
```
data_K3Ce3AgO8
_chemical_formula_sum 'K9 Ce9 Ag3 O24'
_symmetry_space_group_name_H-M 'R -3 m'
_symmetry_Int_Tables_number 166
_symmetry_space_group_name_Hall '-R 3 2"'
_cell_length_a 7.1282
_cell_length_b 7.1282
_cell_length_c 18.6147
_cell_angle_alpha 90.00
_cell_angle_beta 90.00
_cell_angle_gamma 120.00
loop_
_atom_site_label
_atom_site_type_symbol
_atom_site_fract_x
_atom_site_fract_y
_atom_site_fract_z
K1 K 0.0000 0.5000 0.0000
Ce1 Ce 0.0000 0.5000 0.5000
Ag1 Ag 0.0000 0.0000 0.5000
O1 O 0.0000 0.0000 0.2311
O2 O 0.0344 0.5172 0.7740
```

***

(2)
For K4Ce3AgS8, DFT lattice parameters and positions (PBE) gives the simulated powder diffraction line list in this record (Cu Kα (weighted mean of Kα1 and Kα2)).
Neutral-atom scattering factors, no anomalous dispersion.

Principal peaks in the range 2θ from 10° to 90°, in order of falling intensity:
(0 2 4), d 3.002, 2θ = 29.76°, rel. 100
(0 0 3), d 7.319, 2θ = 12.09°, rel. 60
(2 0 8), d 2.179, 2θ = 41.43°, rel. 34
(2 2 0), d 2.070, 2θ = 43.73°, rel. 34
(2 0 2), d 3.408, 2θ = 26.15°, rel. 29
(0 2 1), d 3.539, 2θ = 25.17°, rel. 19
(4 0 4), d 1.704, 2θ = 53.79°, rel. 17
(0 2 7), d 2.361, 2θ = 38.12°, rel. 16
(2 4 4), d 1.316, 2θ = 71.74°, rel. 14
(2 2 3), d 1.992, 2θ = 45.54°, rel. 14
(0 0 6), d 3.659, 2θ = 24.32°, rel. 14
(2 2 12), d 1.371, 2θ = 68.43°, rel. 12

Atomic structure:
```
data_K4Ce3AgS8
_chemical_formula_sum 'K12 Ce9 Ag3 S24'
_symmetry_space_group_name_H-M 'R -3 m'
_symmetry_Int_Tables_number 166
_symmetry_space_group_name_Hall '-R 3 2"'
_cell_length_a 8.2803
_cell_length_b 8.2803
_cell_length_c 21.9563
_cell_angle_alpha 90.00
_cell_angle_beta 90.00
_cell_angle_gamma 120.00
loop_
_atom_site_label
_atom_site_type_symbol
_atom_site_fract_x
_atom_site_fract_y
_atom_site_fract_z
K1 K 0.0000 0.0000 0.0000
K2 K 0.0000 0.5000 0.0000
Ce1 Ce 0.0000 0.5000 0.5000
Ag1 Ag 0.0000 0.0000 0.5000
S1 S 0.0000 0.0000 0.2354
S2 S 0.0142 0.5071 0.7660
```